Diffraction record for Pr2Y12Er5. The powder diffraction line list is calculated, not measured: it uses a PBE-relaxed structure and a wavelength of 1.5418 Å.
Peak positions follow from Bragg's law for the DFT cell and can differ from measured ones.

Most intense lines, 2θ from 15° to 90°, sorted by position:
- 2θ = 28.2°, intensity 116
- 2θ = 30.1°, intensity 141
- 2θ = 30.7°, intensity 263
- 2θ = 31.5°, intensity 142
- 2θ = 31.5°, intensity 1000
- 2θ = 31.6°, intensity 594
- 2θ = 31.9°, intensity 829
- 2θ = 32.7°, intensity 457
- 2θ = 32.8°, intensity 388
- 2θ = 44.9°, intensity 113
- 2θ = 45.6°, intensity 125
- 2θ = 47.2°, intensity 130

Atomic structure:
a = 6.333 Å, b = 8.706 Å, c = 11.905 Å
α = 91.30°, β = 92.64°, γ = 109.11°
Fractional coordinates of all 19 atoms:
Pr: 0.000 0.000 0.000
Pr: 0.410 0.826 0.959
Y: 0.101 0.253 0.549
Y: 0.158 0.457 0.073
Y: 0.190 0.666 0.712
Y: 0.284 0.868 0.234
Y: 0.374 0.114 0.769
Y: 0.431 0.664 0.457
Y: 0.523 0.059 0.491
Y: 0.593 0.221 0.068
Y: 0.634 0.541 0.880
Y: 0.695 0.670 0.180
Y: 0.954 0.293 0.819
Y: 0.985 0.811 0.472
Er: 0.395 0.315 0.309
Er: 0.687 0.440 0.595
Er: 0.767 0.892 0.713
Er: 0.875 0.062 0.280
Er: 0.944 0.449 0.330

---

Diffraction record for BeV6H3. The powder diffraction line list is calculated, not measured: it uses a PBE-relaxed structure and a wavelength of 1.5418 Å.
Peak positions follow from Bragg's law for the DFT cell and can differ from measured ones.

Most intense lines, 2θ from 15° to 90°, sorted by position:
- 2θ = 32.6°, intensity 243
- 2θ = 36.6°, intensity 1000
- 2θ = 38.2°, intensity 545
- 2θ = 40.9°, intensity 368
- 2θ = 41.4°, intensity 628
- 2θ = 43.3°, intensity 416
- 2θ = 43.4°, intensity 310
- 2θ = 43.5°, intensity 253
- 2θ = 43.8°, intensity 230
- 2θ = 45.0°, intensity 485
- 2θ = 48.0°, intensity 323
- 2θ = 62.6°, intensity 262

Atomic structure:
a = 8.357 Å, b = 2.968 Å, c = 8.733 Å
α = 90.00°, β = 117.75°, γ = 90.00°
Fractional coordinates of all 20 atoms:
Be: 0.070 0.250 0.232
Be: 0.930 0.750 0.768
V: 0.039 0.750 0.412
V: 0.117 0.250 0.977
V: 0.246 0.750 0.788
V: 0.294 0.750 0.269
V: 0.358 0.250 0.545
V: 0.457 0.250 0.112
V: 0.543 0.750 0.888
V: 0.642 0.750 0.455
V: 0.706 0.250 0.731
V: 0.754 0.250 0.212
V: 0.883 0.750 0.023
V: 0.961 0.250 0.588
H: 0.194 0.250 0.633
H: 0.285 0.750 0.039
H: 0.457 0.250 0.365
H: 0.543 0.750 0.635
H: 0.715 0.250 0.961
H: 0.806 0.750 0.367

---

Diffraction record for DyThAu4. The powder diffraction line list is calculated, not measured: it uses a PBE-relaxed structure and a wavelength of 1.5418 Å.
Peak positions follow from Bragg's law for the DFT cell and can differ from measured ones.

Most intense lines, 2θ from 15° to 90°, sorted by position:
- 2θ = 25.8°, intensity 91
- 2θ = 33.9°, intensity 1000
- 2θ = 37.8°, intensity 567
- 2θ = 37.9°, intensity 281
- 2θ = 46.3°, intensity 98
- 2θ = 51.6°, intensity 207
- 2θ = 51.7°, intensity 102
- 2θ = 53.0°, intensity 108
- 2θ = 65.7°, intensity 150
- 2θ = 65.8°, intensity 101
- 2θ = 66.9°, intensity 271
- 2θ = 68.4°, intensity 102

Atomic structure:
a = 5.882 Å, b = 5.882 Å, c = 4.749 Å
α = 113.76°, β = 113.76°, γ = 89.15°
Fractional coordinates of all 6 atoms:
Dy: 0.000 0.000 0.000
Th: 0.500 0.500 0.500
Au: 0.081 0.414 0.747
Au: 0.414 0.081 0.747
Au: 0.586 0.919 0.253
Au: 0.919 0.586 0.253

---

Diffraction record for Dy4Er8Sc3. The powder diffraction line list is calculated, not measured: it uses a PBE-relaxed structure and a wavelength of 1.5418 Å.
Peak positions follow from Bragg's law for the DFT cell and can differ from measured ones.

Most intense lines, 2θ from 15° to 90°, sorted by position:
- 2θ = 21.2°, intensity 259
- 2θ = 25.5°, intensity 264
- 2θ = 28.7°, intensity 642
- 2θ = 30.0°, intensity 484
- 2θ = 31.4°, intensity 1000
- 2θ = 31.6°, intensity 958
- 2θ = 31.7°, intensity 850
- 2θ = 32.8°, intensity 570
- 2θ = 43.0°, intensity 407
- 2θ = 43.2°, intensity 387
- 2θ = 43.3°, intensity 328
- 2θ = 68.9°, intensity 327

Atomic structure:
a = 9.038 Å, b = 9.038 Å, c = 6.517 Å
α = 110.94°, β = 110.94°, γ = 87.03°
Fractional coordinates of all 15 atoms:
Dy: 0.000 0.000 0.000
Dy: 0.000 0.500 0.000
Dy: 0.500 0.000 0.000
Dy: 0.500 0.500 0.500
Er: 0.242 0.758 0.500
Er: 0.251 0.251 0.469
Er: 0.269 0.269 0.961
Er: 0.355 0.645 0.000
Er: 0.645 0.355 0.000
Er: 0.731 0.731 0.039
Er: 0.749 0.749 0.531
Er: 0.758 0.242 0.500
Sc: 0.000 0.000 0.500
Sc: 0.000 0.500 0.500
Sc: 0.500 0.000 0.500

---

Diffraction record for SrSnBi. The powder diffraction line list is calculated, not measured: it uses a PBE-relaxed structure and a wavelength of 1.5418 Å.
Peak positions follow from Bragg's law for the DFT cell and can differ from measured ones.

Most intense lines, 2θ from 15° to 90°, sorted by position:
- 2θ = 19.4°, intensity 186
- 2θ = 20.1°, intensity 303
- 2θ = 28.0°, intensity 1000
- 2θ = 33.9°, intensity 768
- 2θ = 39.7°, intensity 336
- 2θ = 40.8°, intensity 156
- 2θ = 44.6°, intensity 289
- 2θ = 54.1°, intensity 416
- 2θ = 57.2°, intensity 279
- 2θ = 60.7°, intensity 148
- 2θ = 75.8°, intensity 159
- 2θ = 85.7°, intensity 120

Atomic structure:
a = 5.281 Å, b = 5.281 Å, c = 4.427 Å
α = 90.00°, β = 90.00°, γ = 120.00°
Fractional coordinates of all 3 atoms:
Sr: 0.000 0.000 0.000
Sn: 0.333 0.667 0.500
Bi: 0.667 0.333 0.500

---

Diffraction record for Ca4N. The powder diffraction line list is calculated, not measured: it uses a PBE-relaxed structure and a wavelength of 1.5418 Å.
Peak positions follow from Bragg's law for the DFT cell and can differ from measured ones.

Most intense lines, 2θ from 15° to 90°, sorted by position:
- 2θ = 16.4°, intensity 124
- 2θ = 22.0°, intensity 150
- 2θ = 28.1°, intensity 345
- 2θ = 28.3°, intensity 402
- 2θ = 28.6°, intensity 1000
- 2θ = 28.7°, intensity 917
- 2θ = 40.3°, intensity 304
- 2θ = 41.6°, intensity 149
- 2θ = 50.0°, intensity 187
- 2θ = 50.2°, intensity 130
- 2θ = 50.5°, intensity 134
- 2θ = 50.9°, intensity 287

Atomic structure:
a = 6.249 Å, b = 6.249 Å, c = 10.695 Å
α = 105.51°, β = 105.51°, γ = 61.16°
Fractional coordinates of all 10 atoms:
Ca: 0.142 0.518 0.198
Ca: 0.194 0.702 0.581
Ca: 0.298 0.806 0.919
Ca: 0.482 0.858 0.302
Ca: 0.518 0.142 0.698
Ca: 0.702 0.194 0.081
Ca: 0.806 0.298 0.419
Ca: 0.858 0.482 0.802
N: 0.470 0.530 0.750
N: 0.530 0.470 0.250

---

Diffraction record for Zn3Cd. The powder diffraction line list is calculated, not measured: it uses a PBE-relaxed structure and a wavelength of 1.5418 Å.
Peak positions follow from Bragg's law for the DFT cell and can differ from measured ones.

Most intense lines, 2θ from 15° to 90°, sorted by position:
- 2θ = 34.4°, intensity 524
- 2θ = 37.4°, intensity 186
- 2θ = 37.7°, intensity 145
- 2θ = 41.4°, intensity 1000
- 2θ = 41.6°, intensity 412
- 2θ = 51.7°, intensity 140
- 2θ = 51.9°, intensity 110
- 2θ = 66.3°, intensity 221
- 2θ = 66.5°, intensity 92
- 2θ = 67.9°, intensity 131
- 2θ = 78.4°, intensity 168
- 2θ = 82.4°, intensity 102

Atomic structure:
a = 5.904 Å, b = 5.904 Å, c = 5.904 Å
α = 152.75°, β = 55.77°, γ = 132.34°
Fractional coordinates of all 4 atoms:
Zn: 0.000 0.000 0.000
Zn: 0.395 0.653 0.742
Zn: 0.910 0.653 0.258
Cd: 0.503 0.003 0.500

---

Diffraction record for NpTcI2O6. The powder diffraction line list is calculated, not measured: it uses a PBE-relaxed structure and a wavelength of 1.5418 Å.
Peak positions follow from Bragg's law for the DFT cell and can differ from measured ones.

Most intense lines, 2θ from 15° to 90°, sorted by position:
- 2θ = 21.4°, intensity 1000
- 2θ = 21.8°, intensity 283
- 2θ = 22.2°, intensity 262
- 2θ = 23.3°, intensity 154
- 2θ = 25.1°, intensity 497
- 2θ = 27.1°, intensity 296
- 2θ = 32.9°, intensity 219
- 2θ = 33.5°, intensity 165
- 2θ = 38.9°, intensity 137
- 2θ = 43.6°, intensity 176
- 2θ = 44.3°, intensity 140
- 2θ = 56.8°, intensity 127

Atomic structure:
a = 5.647 Å, b = 5.688 Å, c = 6.667 Å
α = 97.50°, β = 94.86°, γ = 94.17°
Fractional coordinates of all 10 atoms:
Np: 0.000 0.000 0.000
Tc: 0.500 0.500 0.000
I: 0.348 0.343 0.591
I: 0.652 0.657 0.409
O: 0.051 0.030 0.735
O: 0.256 0.260 0.088
O: 0.286 0.715 0.005
O: 0.714 0.285 0.995
O: 0.744 0.740 0.912
O: 0.949 0.970 0.265